(1)
# LaTmLuPu
Theoretical PXRD pattern, Cu Kα (λ = 1.5418 Å). Input: DFT lattice parameters and positions (GGA-PBE).

Top 10 peaks for 2θ from 10° to 80°, by intensity:
d [Å], Position (°2θ), Rel. int.
2.809, 31.85, 100
1.622, 56.76, 40
1.986, 45.67, 19
1.256, 75.70, 17
1.405, 66.57, 12
4.588, 19.35, 4
2.396, 37.54, 2
1.823, 50.04, 1
1.343, 70.06, 1
1.529, 60.55, 1

Structural model:
```
data_LaTmLuPu
_cell_length_a 7.946
_cell_length_b 7.946
_cell_length_c 7.946
_cell_angle_alpha 90.00
_cell_angle_beta 90.00
_cell_angle_gamma 90.00
_symmetry_space_group_name_H-M 'F -4 3 m'
_symmetry_Int_Tables_number 216
_symmetry_space_group_name_Hall 'F -4 2 3'
loop_
_atom_site_label
_atom_site_type_symbol
_atom_site_fract_x
_atom_site_fract_y
_atom_site_fract_z
_atom_site_occupancy
La1 La 0.000 0.000 0.000 1
Tm1 Tm 0.250 0.250 0.250 1
Lu1 Lu 0.250 0.250 0.750 1
Pu1 Pu 0.000 0.000 0.500 1
```


(2)
# La2LuRh
Theoretical PXRD pattern, Cu Kα (λ = 1.5418 Å). Input: DFT lattice parameters and positions (GGA-PBE).

Top 10 peaks for 2θ from 10° to 80°, by intensity:
d [Å], Position (°2θ), Rel. int.
2.738, 32.70, 100
2.651, 33.81, 55
1.547, 59.79, 35
1.874, 48.57, 20
3.396, 26.24, 15
1.599, 57.65, 11
1.882, 48.36, 10
2.673, 33.53, 7
1.475, 63.04, 7
1.369, 68.53, 7

Structural model:
```
data_La2LuRh
_cell_length_a 3.749
_cell_length_b 3.749
_cell_length_c 8.019
_cell_angle_alpha 90.00
_cell_angle_beta 90.00
_cell_angle_gamma 90.00
_symmetry_space_group_name_H-M 'P 4/m m m'
_symmetry_Int_Tables_number 123
_symmetry_space_group_name_Hall '-P 4 2'
loop_
_atom_site_label
_atom_site_type_symbol
_atom_site_fract_x
_atom_site_fract_y
_atom_site_fract_z
_atom_site_occupancy
La1 La 0.000 0.000 0.203 1
Lu1 Lu 0.500 0.500 0.500 1
Rh1 Rh 0.500 0.500 0.000 1
```


(3)
# La3LuSe6
Theoretical PXRD pattern, Cu Kα (λ = 1.5418 Å). Input: DFT lattice parameters and positions (GGA-PBE).

Top 10 peaks for 2θ from 10° to 80°, by intensity:
d [Å], Position (°2θ), Rel. int.
2.811, 31.83, 100
2.094, 43.21, 56
2.390, 37.64, 42
2.710, 33.06, 38
3.805, 23.38, 37
2.170, 41.62, 35
2.984, 29.94, 33
3.670, 24.25, 31
3.414, 26.10, 28
2.329, 38.66, 23

Structural model:
```
data_La3LuSe6
_cell_length_a 14.762
_cell_length_b 17.764
_cell_length_c 4.189
_cell_angle_alpha 90.00
_cell_angle_beta 90.00
_cell_angle_gamma 90.00
_symmetry_space_group_name_H-M 'P n n m'
_symmetry_Int_Tables_number 58
loop_
_symmetry_equiv_pos_as_xyz
'x,y,z'
'-x,-y,-z'
'-x,-y,z'
'x,y,-z'
'x+1/2,-y+1/2,-z+1/2'
'-x+1/2,y+1/2,z+1/2'
'-x+1/2,y+1/2,-z+1/2'
'x+1/2,-y+1/2,z+1/2'
loop_
_atom_site_label
_atom_site_type_symbol
_atom_site_fract_x
_atom_site_fract_y
_atom_site_fract_z
_atom_site_occupancy
La1 La 0.048 0.219 0.000 1
La2 La 0.181 0.650 0.000 1
La3 La 0.249 0.899 0.500 1
Lu1 Lu 0.000 0.000 0.500 1
Lu2 Lu 0.000 0.500 0.500 1
Se1 Se 0.023 0.395 0.000 1
Se2 Se 0.092 0.922 0.000 1
Se3 Se 0.105 0.754 0.500 1
Se4 Se 0.124 0.111 0.500 1
Se5 Se 0.186 0.290 0.500 1
Se6 Se 0.188 0.523 0.500 1
```


(4)
# La2SmLu
Theoretical PXRD pattern, Cu Kα (λ = 1.5418 Å). Input: DFT lattice parameters and positions (GGA-PBE).

Top 10 peaks for 2θ from 10° to 80°, by intensity:
d [Å], Position (°2θ), Rel. int.
2.970, 30.09, 100
2.591, 34.62, 34
1.559, 59.27, 29
1.812, 50.35, 24
2.536, 35.39, 16
1.535, 60.28, 14
1.485, 62.55, 12
1.832, 49.78, 12
1.295, 73.05, 4
1.268, 74.88, 2

Structural model:
```
data_La2SmLu
_cell_length_a 5.181
_cell_length_b 5.181
_cell_length_c 5.073
_cell_angle_alpha 90.00
_cell_angle_beta 90.00
_cell_angle_gamma 90.00
_symmetry_space_group_name_H-M 'P 4/m m m'
_symmetry_Int_Tables_number 123
_symmetry_space_group_name_Hall '-P 4 2'
loop_
_atom_site_label
_atom_site_type_symbol
_atom_site_fract_x
_atom_site_fract_y
_atom_site_fract_z
_atom_site_occupancy
La1 La 0.000 0.500 0.000 1
Sm1 Sm 0.000 0.000 0.500 1
Lu1 Lu 0.500 0.500 0.500 1
```


(5)
# LaTmLuZr
Theoretical PXRD pattern, Cu Kα (λ = 1.5418 Å). Input: DFT lattice parameters and positions (GGA-PBE).

Top 10 peaks for 2θ from 10° to 80°, by intensity:
d [Å], Position (°2θ), Rel. int.
2.745, 32.62, 100
1.585, 58.21, 38
1.941, 46.80, 18
1.228, 77.79, 16
1.373, 68.34, 12
3.882, 22.91, 4
1.736, 52.72, 2
2.241, 40.23, 1
4.483, 19.80, 1
1.294, 73.13, 1

Structural model:
```
data_LaTmLuZr
_cell_length_a 7.765
_cell_length_b 7.765
_cell_length_c 7.765
_cell_angle_alpha 90.00
_cell_angle_beta 90.00
_cell_angle_gamma 90.00
_symmetry_space_group_name_H-M 'F -4 3 m'
_symmetry_Int_Tables_number 216
_symmetry_space_group_name_Hall 'F -4 2 3'
loop_
_atom_site_label
_atom_site_type_symbol
_atom_site_fract_x
_atom_site_fract_y
_atom_site_fract_z
_atom_site_occupancy
La1 La 0.000 0.000 0.000 1
Tm1 Tm 0.250 0.250 0.750 1
Lu1 Lu 0.250 0.250 0.250 1
Zr1 Zr 0.000 0.000 0.500 1
```


(6)
# La4Mg
Theoretical PXRD pattern, Cu Kα (λ = 1.5418 Å). Input: DFT lattice parameters and positions (GGA-PBE).

Top 10 peaks for 2θ from 10° to 80°, by intensity:
d [Å], Position (°2θ), Rel. int.
2.984, 29.95, 100
2.682, 33.41, 40
1.600, 57.60, 31
1.795, 50.86, 19
3.431, 25.97, 14
1.896, 47.98, 14
2.417, 37.20, 12
1.492, 62.23, 10
1.669, 55.01, 8
2.006, 45.21, 8

Structural model:
```
data_La4Mg
_cell_length_a 3.792
_cell_length_b 3.792
_cell_length_c 24.170
_cell_angle_alpha 90.00
_cell_angle_beta 90.00
_cell_angle_gamma 90.00
_symmetry_space_group_name_H-M 'I 4/m m m'
_symmetry_Int_Tables_number 139
_symmetry_space_group_name_Hall '-I 4 2'
loop_
_atom_site_label
_atom_site_type_symbol
_atom_site_fract_x
_atom_site_fract_y
_atom_site_fract_z
_atom_site_occupancy
La1 La 0.000 0.000 0.089 1
La2 La 0.000 0.000 0.304 1
Mg1 Mg 0.000 0.000 0.500 1
```


(7)
# La3Mg5
Theoretical PXRD pattern, Cu Kα (λ = 1.5418 Å). Input: DFT lattice parameters and positions (GGA-PBE).

Top 10 peaks for 2θ from 10° to 80°, by intensity:
d [Å], Position (°2θ), Rel. int.
2.761, 32.43, 100
3.904, 22.78, 46
1.594, 57.85, 37
5.522, 16.05, 23
1.746, 52.40, 20
1.952, 46.52, 18
1.235, 77.28, 16
2.254, 40.00, 14
3.188, 27.99, 12
1.380, 67.90, 11

Structural model:
```
data_La3Mg5
_cell_length_a 7.809
_cell_length_b 7.809
_cell_length_c 7.809
_cell_angle_alpha 90.00
_cell_angle_beta 90.00
_cell_angle_gamma 90.00
_symmetry_space_group_name_H-M 'I m -3 m'
_symmetry_Int_Tables_number 229
_symmetry_space_group_name_Hall '-I 4 2 3'
loop_
_atom_site_label
_atom_site_type_symbol
_atom_site_fract_x
_atom_site_fract_y
_atom_site_fract_z
_atom_site_occupancy
La1 La 0.000 0.000 0.500 1
Mg1 Mg 0.000 0.000 0.000 1
Mg2 Mg 0.250 0.250 0.250 1
```


(8)
# La2Mg5
Theoretical PXRD pattern, Cu Kα (λ = 1.5418 Å). Input: DFT lattice parameters and positions (GGA-PBE).

Top 10 peaks for 2θ from 10° to 80°, by intensity:
d [Å], Position (°2θ), Rel. int.
4.245, 20.93, 100
2.573, 34.87, 47
2.605, 34.43, 44
2.621, 34.21, 40
3.618, 24.61, 25
3.661, 24.31, 22
3.754, 23.70, 19
2.191, 41.20, 17
3.248, 27.46, 14
2.122, 42.60, 14

Structural model:
```
data_La2Mg5
_cell_length_a 7.508
_cell_length_b 14.644
_cell_length_c 7.235
_cell_angle_alpha 90.00
_cell_angle_beta 90.00
_cell_angle_gamma 90.00
_symmetry_space_group_name_H-M 'I b a m'
_symmetry_Int_Tables_number 72
_symmetry_space_group_name_Hall '-I 2 2c'
loop_
_atom_site_label
_atom_site_type_symbol
_atom_site_fract_x
_atom_site_fract_y
_atom_site_fract_z
_atom_site_occupancy
La1 La 0.205 0.110 0.000 1
Mg1 Mg 0.000 0.265 0.250 1
Mg2 Mg 0.000 0.500 0.250 1
Mg3 Mg 0.248 0.371 0.000 1
```


(9)
# LaMg5
Theoretical PXRD pattern, Cu Kα (λ = 1.5418 Å). Input: DFT lattice parameters and positions (GGA-PBE).

Top 10 peaks for 2θ from 10° to 80°, by intensity:
d [Å], Position (°2θ), Rel. int.
2.657, 33.74, 100
2.553, 35.15, 50
3.077, 29.01, 45
3.452, 25.81, 42
1.493, 62.17, 33
5.885, 15.05, 30
1.556, 59.39, 26
3.610, 24.66, 22
1.805, 50.56, 17
3.923, 22.66, 15

Structural model:
```
data_LaMg5
_cell_length_a 3.610
_cell_length_b 3.610
_cell_length_c 11.770
_cell_angle_alpha 90.00
_cell_angle_beta 90.00
_cell_angle_gamma 90.00
_symmetry_space_group_name_H-M 'P 4/m m m'
_symmetry_Int_Tables_number 123
_symmetry_space_group_name_Hall '-P 4 2'
loop_
_atom_site_label
_atom_site_type_symbol
_atom_site_fract_x
_atom_site_fract_y
_atom_site_fract_z
_atom_site_occupancy
La1 La 0.000 0.000 0.000 1
Mg1 Mg 0.000 0.000 0.351 1
Mg2 Mg 0.500 0.500 0.201 1
Mg3 Mg 0.500 0.500 0.500 1
```


(10)
# La3Mg
Theoretical PXRD pattern, Cu Kα (λ = 1.5418 Å). Input: DFT lattice parameters and positions (GGA-PBE).

Top 10 peaks for 2θ from 10° to 80°, by intensity:
d [Å], Position (°2θ), Rel. int.
2.886, 30.99, 100
1.666, 55.12, 39
2.041, 44.39, 19
1.291, 73.35, 16
4.713, 18.83, 15
1.443, 64.58, 12
2.461, 36.51, 8
4.082, 21.77, 8
1.873, 48.62, 4
1.825, 49.97, 3

Structural model:
```
data_La3Mg
_cell_length_a 8.163
_cell_length_b 8.163
_cell_length_c 8.163
_cell_angle_alpha 90.00
_cell_angle_beta 90.00
_cell_angle_gamma 90.00
_symmetry_space_group_name_H-M 'F m -3 m'
_symmetry_Int_Tables_number 225
_symmetry_space_group_name_Hall '-F 4 2 3'
loop_
_atom_site_label
_atom_site_type_symbol
_atom_site_fract_x
_atom_site_fract_y
_atom_site_fract_z
_atom_site_occupancy
La1 La 0.000 0.000 0.000 1
La2 La 0.250 0.250 0.250 1
Mg1 Mg 0.000 0.000 0.500 1
```


(11)
# La4Mg
Theoretical PXRD pattern, Cu Kα (λ = 1.5418 Å). Input: DFT lattice parameters and positions (GGA-PBE).

Top 10 peaks for 2θ from 10° to 80°, by intensity:
d [Å], Position (°2θ), Rel. int.
2.886, 30.99, 100
2.922, 30.59, 91
3.346, 26.64, 24
1.674, 54.84, 24
2.056, 44.05, 23
1.667, 55.10, 13
1.671, 54.95, 12
2.049, 44.21, 11
1.646, 55.86, 11
1.295, 73.07, 10

Structural model:
```
data_La4Mg
_cell_length_a 6.855
_cell_length_b 5.777
_cell_length_c 9.988
_cell_angle_alpha 90.00
_cell_angle_beta 118.85
_cell_angle_gamma 90.00
_symmetry_space_group_name_H-M 'P 1 21/c 1'
_symmetry_Int_Tables_number 14
loop_
_symmetry_equiv_pos_as_xyz
'x,y,z'
'-x,-y,-z'
'-x,y+1/2,-z+1/2'
'x,-y+1/2,z+1/2'
loop_
_atom_site_label
_atom_site_type_symbol
_atom_site_fract_x
_atom_site_fract_y
_atom_site_fract_z
_atom_site_occupancy
La1 La 0.055 0.002 0.185 1
La2 La 0.317 0.501 0.106 1
Mg1 Mg 0.500 0.000 0.000 1
```


(12)
# LaMg2
Theoretical PXRD pattern, Cu Kα (λ = 1.5418 Å). Input: DFT lattice parameters and positions (GGA-PBE).

Top 10 peaks for 2θ from 10° to 80°, by intensity:
d [Å], Position (°2θ), Rel. int.
2.772, 32.30, 100
4.668, 19.01, 49
4.056, 21.91, 36
2.588, 34.65, 21
3.467, 25.70, 21
2.499, 35.93, 19
1.527, 60.64, 18
2.264, 39.82, 15
1.490, 62.31, 15
1.798, 50.78, 14

Structural model:
```
data_LaMg2
_cell_length_a 4.999
_cell_length_b 13.052
_cell_length_c 5.177
_cell_angle_alpha 90.00
_cell_angle_beta 90.00
_cell_angle_gamma 90.00
_symmetry_space_group_name_H-M 'C m c m'
_symmetry_Int_Tables_number 63
_symmetry_space_group_name_Hall '-C 2c 2'
loop_
_atom_site_label
_atom_site_type_symbol
_atom_site_fract_x
_atom_site_fract_y
_atom_site_fract_z
_atom_site_occupancy
La1 La 0.000 0.091 0.250 1
Mg1 Mg 0.000 0.242 0.750 1
Mg2 Mg 0.000 0.400 0.250 1
```


(13)
# La3Mg
Theoretical PXRD pattern, Cu Kα (λ = 1.5418 Å). Input: DFT lattice parameters and positions (GGA-PBE).

Top 10 peaks for 2θ from 10° to 80°, by intensity:
d [Å], Position (°2θ), Rel. int.
2.817, 31.77, 100
2.724, 32.88, 29
2.924, 30.58, 29
3.079, 29.00, 20
3.215, 27.75, 18
3.294, 27.07, 17
1.667, 55.10, 16
1.534, 60.32, 15
1.802, 50.64, 14
5.448, 16.27, 13

Structural model:
```
data_La3Mg
_cell_length_a 3.769
_cell_length_b 11.695
_cell_length_c 6.157
_cell_angle_alpha 90.00
_cell_angle_beta 90.00
_cell_angle_gamma 90.00
_symmetry_space_group_name_H-M 'I m m 2'
_symmetry_Int_Tables_number 44
loop_
_symmetry_equiv_pos_as_xyz
'x,y,z'
'-x,-y,z'
'-x,y,z'
'x,-y,z'
'x+1/2,y+1/2,z+1/2'
'-x+1/2,-y+1/2,z+1/2'
'-x+1/2,y+1/2,z+1/2'
'x+1/2,-y+1/2,z+1/2'
loop_
_atom_site_label
_atom_site_type_symbol
_atom_site_fract_x
_atom_site_fract_y
_atom_site_fract_z
_atom_site_occupancy
La1 La 0.000 0.000 0.000 1
La2 La 0.000 0.232 0.626 1
Mg1 Mg 0.000 0.500 0.983 1
```


(14)
# La3Mg5
Theoretical PXRD pattern, Cu Kα (λ = 1.5418 Å). Input: DFT lattice parameters and positions (GGA-PBE).

Top 10 peaks for 2θ from 10° to 80°, by intensity:
d [Å], Position (°2θ), Rel. int.
2.772, 32.30, 100
3.831, 23.22, 43
4.016, 22.14, 25
2.743, 32.64, 23
2.676, 33.49, 23
4.126, 21.54, 18
1.563, 59.12, 17
1.589, 58.03, 16
1.915, 47.47, 16
1.620, 56.85, 13

Structural model:
```
data_La3Mg5
_cell_length_a 8.032
_cell_length_b 10.974
_cell_length_c 5.351
_cell_angle_alpha 90.00
_cell_angle_beta 90.00
_cell_angle_gamma 90.00
_symmetry_space_group_name_H-M 'C m m m'
_symmetry_Int_Tables_number 65
_symmetry_space_group_name_Hall '-C 2 2'
loop_
_atom_site_label
_atom_site_type_symbol
_atom_site_fract_x
_atom_site_fract_y
_atom_site_fract_z
_atom_site_occupancy
La1 La 0.000 0.000 0.000 1
La2 La 0.000 0.264 0.500 1
Mg1 Mg 0.000 0.500 0.000 1
Mg2 Mg 0.243 0.500 0.500 1
Mg3 Mg 0.250 0.250 0.000 1
```